For SmDy12Ho2, a PBE-relaxed structure gives the computed X-ray powder pattern in this record (Cu Kα, 1.54184 Å).
Kinematic intensities with the Lorentz-polarization factor, no thermal factor.

Most intense lines, 2θ = 10–90°, in order of rising 2θ:
two_theta	I (rel.)	h k l
29.81	24	-1 1 7
31.54	36	0 2 -3
32.11	13	1 0 -8
32.31	100	1 -1 8
32.47	28	2 -2 1
32.88	20	-1 2 5

Structural model:
Unit cell a=6.350 b=6.656 c=25.324 alpha=92.32 beta=90.11 gamma=116.97
Space group P-1 (No. 2)
One atom of each set of equivalent atoms:
Sm 0.222 0.275 0.017 (multiplicity 2)
Dy 0.017 0.267 0.653 (multiplicity 2)
Dy 0.112 0.402 0.782 (multiplicity 2)
Dy 0.124 0.066 0.880 (multiplicity 2)
Dy 0.224 0.618 0.915 (multiplicity 2)
Dy 0.241 0.998 0.464 (multiplicity 2)
Dy 0.244 0.448 0.398 (multiplicity 2)
Dy 0.253 0.512 0.534 (multiplicity 2)
Dy 0.285 0.013 0.595 (multiplicity 2)
Dy 0.325 0.482 0.153 (multiplicity 2)
Dy 0.331 0.831 0.052 (multiplicity 2)
Dy 0.443 0.045 0.187 (multiplicity 2)
Dy 0.482 0.775 0.679 (multiplicity 2)
Ho 0.009 0.843 0.735 (multiplicity 2)
Ho 0.456 0.697 0.283 (multiplicity 2)


For Tb3Al3Au8, a PBE-relaxed structure gives the computed X-ray powder pattern in this record (Cu Kα, 1.54184 Å).
Kinematic intensities with the Lorentz-polarization factor, no thermal factor.

Most intense lines, 2θ = 10–90°, in order of rising 2θ:
two_theta	I (rel.)	h k l
33.96	36	1 1 2
34.12	60	3 1 1
34.46	100	5 1 -2
38.03	33	1 1 -3
39.08	62	0 2 0
45.34	32	7 1 -3

Structural model:
Unit cell a=16.121 b=4.610 c=8.968 alpha=90.00 beta=122.59 gamma=90.00
Space group C2/m (No. 12)
One atom of each set of equivalent atoms:
Tb 0.000 0.000 0.000 (multiplicity 2)
Tb 0.208 0.500 0.728 (multiplicity 4)
Al 0.000 0.000 0.500 (multiplicity 2)
Al 0.167 0.500 0.329 (multiplicity 4)
Au 0.007 0.500 0.340 (multiplicity 4)
Au 0.131 0.000 0.840 (multiplicity 4)
Au 0.142 0.000 0.431 (multiplicity 4)
Au 0.149 0.500 0.037 (multiplicity 4)


For BaMg2ZnHg5, a PBE-relaxed structure gives the computed X-ray powder pattern in this record (Cu Kα, 1.54184 Å).
Kinematic intensities with the Lorentz-polarization factor, no thermal factor.

Most intense lines, 2θ = 10–90°, in order of rising 2θ:
two_theta	I (rel.)	h k l
25.48	100	1 0 3
28.89	34	0 2 2
32.12	58	1 2 1
35.25	35	2 0 0
36.20	38	0 2 4
51.42	28	2 2 4

Structural model:
Unit cell a=5.093 b=6.842 c=14.421 alpha=90.00 beta=90.00 gamma=90.00
Space group Immm (No. 71)
One atom of each set of equivalent atoms:
Ba 0.000 0.000 0.000 (multiplicity 2)
Mg 0.000 0.500 0.192 (multiplicity 4)
Zn 0.000 0.000 0.500 (multiplicity 2)
Hg 0.000 0.247 0.343 (multiplicity 8)
Hg 0.000 0.500 0.000 (multiplicity 2)


For K2RbIrF6, a PBE-relaxed structure gives the computed X-ray powder pattern in this record (Cu Kα, 1.54184 Å).
Kinematic intensities with the Lorentz-polarization factor, no thermal factor.

Most intense lines, 2θ = 10–90°, in order of rising 2θ:
two_theta	I (rel.)	h k l
15.42	55	0 1 1
19.02	73	1 0 1
19.41	47	0 2 0
21.38	30	1 1 1
27.31	100	1 2 1
39.88	39	2 1 2

Structural model:
Unit cell a=6.018 b=9.145 c=7.386 alpha=90.00 beta=90.00 gamma=90.00
Space group Pmmn (No. 59, origin choice 2)
One atom of each set of equivalent atoms:
K 0.250 0.046 0.165 (multiplicity 4)
Rb 0.250 0.250 0.674 (multiplicity 2)
Ir 0.250 0.750 0.818 (multiplicity 2)
F 0.005 0.750 0.629 (multiplicity 4)
F 0.013 0.750 0.017 (multiplicity 4)
F 0.250 0.527 0.818 (multiplicity 4)


For Ca5Ga2Sn5, a PBE-relaxed structure gives the computed X-ray powder pattern in this record (Cu Kα, 1.54184 Å).
Kinematic intensities with the Lorentz-polarization factor, no thermal factor.

Most intense lines, 2θ = 10–90°, in order of rising 2θ:
two_theta	I (rel.)	h k l
19.88	47	1 1 0
25.26	31	2 0 -3
31.07	67	3 1 -3
33.59	28	1 1 -3
35.19	100	5 1 -1
37.75	47	0 2 0

Structural model:
Unit cell a=16.314 b=4.766 c=10.848 alpha=90.00 beta=128.47 gamma=90.00
Space group C2/m (No. 12)
One atom of each set of equivalent atoms:
Ca 0.000 0.000 0.000 (multiplicity 2)
Ca 0.112 0.000 0.419 (multiplicity 4)
Ca 0.179 0.000 0.829 (multiplicity 4)
Ga 0.141 0.500 0.217 (multiplicity 4)
Sn 0.000 0.500 0.500 (multiplicity 2)
Sn 0.056 0.500 0.850 (multiplicity 4)
Sn 0.242 0.500 0.692 (multiplicity 4)


For La2SmY5, a PBE-relaxed structure gives the computed X-ray powder pattern in this record (Cu Kα, 1.54184 Å).
Kinematic intensities with the Lorentz-polarization factor, no thermal factor.

Most intense lines, 2θ = 10–90°, in order of rising 2θ:
two_theta	I (rel.)	h k l
28.06	70	2 0 0
28.82	74	2 2 0
30.06	100	0 8 1
31.43	75	1 0 2
33.26	63	1 8 1
37.41	49	2 6 1

Structural model:
Unit cell a=6.371 b=26.902 c=6.362 alpha=90.00 beta=90.00 gamma=90.00
Space group Pbcn (No. 60)
One atom of each set of equivalent atoms:
La 0.243 0.215 0.105 (multiplicity 8)
Sm 0.000 0.031 0.750 (multiplicity 4)
Y 0.000 0.471 0.250 (multiplicity 4)
Y 0.247 0.352 0.121 (multiplicity 8)
Y 0.250 0.088 0.159 (multiplicity 8)


For Zn2CuAuS, a PBE-relaxed structure gives the computed X-ray powder pattern in this record (Cu Kα, 1.54184 Å).
Kinematic intensities with the Lorentz-polarization factor, no thermal factor.

Most intense lines, 2θ = 10–90°, in order of rising 2θ:
two_theta	I (rel.)	h k l
18.30	100	0 0 1
26.00	42	1 0 1
36.98	21	0 0 2
37.16	42	2 0 0
41.72	36	2 0 1
53.43	29	2 0 2

Structural model:
Unit cell a=4.839 b=4.839 c=4.862 alpha=90.00 beta=90.00 gamma=90.00
Space group P4/mmm (No. 123)
One atom of each set of equivalent atoms:
Zn 0.000 0.500 0.000 (multiplicity 2)
Cu 0.000 0.000 0.500 (multiplicity 1)
Au 0.000 0.000 0.000 (multiplicity 1)
S 0.500 0.500 0.500 (multiplicity 1)


For Li7Y7ZrS16, a PBE-relaxed structure gives the computed X-ray powder pattern in this record (Cu Kα, 1.54184 Å).
Kinematic intensities with the Lorentz-polarization factor, no thermal factor.

Most intense lines, 2θ = 10–90°, in order of rising 2θ:
two_theta	I (rel.)	h k l
14.32	100	1 0 0
26.85	65	1 0 -2
32.78	90	1 4 1
32.90	44	2 0 -2
46.62	47	0 8 0
47.66	29	3 4 -1

Structural model:
Unit cell a=6.567 b=15.571 c=6.756 alpha=90.00 beta=109.68 gamma=90.00
Space group P2/m (No. 10)
One atom of each set of equivalent atoms:
Li 0.000 0.000 0.000 (multiplicity 1)
Li 0.000 0.126 0.500 (multiplicity 2)
Li 0.000 0.249 0.000 (multiplicity 2)
Li 0.000 0.378 0.500 (multiplicity 2)
Y 0.500 0.000 0.500 (multiplicity 1)
Y 0.500 0.126 0.000 (multiplicity 2)
Y 0.500 0.252 0.500 (multiplicity 2)
Y 0.500 0.377 0.000 (multiplicity 2)
Zr 0.500 0.500 0.500 (multiplicity 1)
S 0.247 0.252 0.753 (multiplicity 4)
S 0.248 0.126 0.251 (multiplicity 4)
S 0.249 0.000 0.751 (multiplicity 2)
S 0.259 0.381 0.262 (multiplicity 4)
S 0.259 0.500 0.733 (multiplicity 2)


For Pu5Tc2Rh2, a PBE-relaxed structure gives the computed X-ray powder pattern in this record (Cu Kα, 1.54184 Å).
Kinematic intensities with the Lorentz-polarization factor, no thermal factor.

Most intense lines, 2θ = 10–90°, in order of rising 2θ:
two_theta	I (rel.)	h k l
33.08	100	3 1 2
34.81	67	4 0 2
34.94	57	0 2 2
35.37	74	4 2 0
37.47	95	6 0 0
39.23	47	1 1 3

Structural model:
Unit cell a=14.404 b=7.153 c=7.381 alpha=90.00 beta=90.00 gamma=90.00
Space group Cmce (No. 64)
One atom of each set of equivalent atoms:
Pu 0.000 0.000 0.000 (multiplicity 4)
Pu 0.138 0.184 0.322 (multiplicity 16)
Tc 0.000 0.136 0.641 (multiplicity 8)
Rh 0.223 0.000 0.000 (multiplicity 8)


For PaSn2Pd7, a PBE-relaxed structure gives the computed X-ray powder pattern in this record (Cu Kα, 1.54184 Å).
Kinematic intensities with the Lorentz-polarization factor, no thermal factor.

Most intense lines, 2θ = 10–90°, in order of rising 2θ:
two_theta	I (rel.)	h k l
13.48	48	1 1 0
24.52	46	1 1 1
35.81	34	2 4 0
41.22	100	1 5 1
41.45	37	0 0 2
42.11	63	3 1 1

Structural model:
Unit cell a=7.524 b=13.453 c=4.357 alpha=90.00 beta=90.00 gamma=90.00
Space group Cmmm (No. 65)
One atom of each set of equivalent atoms:
Pa 0.000 0.000 0.000 (multiplicity 2)
Sn 0.000 0.306 0.500 (multiplicity 4)
Pd 0.000 0.198 0.000 (multiplicity 4)
Pd 0.000 0.500 0.500 (multiplicity 2)
Pd 0.180 0.105 0.500 (multiplicity 8)


For BaGd2Tl, a PBE-relaxed structure gives the computed X-ray powder pattern in this record (Cu Kα, 1.54184 Å).
Kinematic intensities with the Lorentz-polarization factor, no thermal factor.

Most intense lines, 2θ = 10–90°, in order of rising 2θ:
two_theta	I (rel.)	h k l
29.48	100	1 0 2
33.23	48	1 1 0
35.81	23	1 0 3
47.70	18	2 0 0
57.07	31	2 1 2
81.05	12	1 0 8

Structural model:
Unit cell a=3.813 b=3.813 c=9.985 alpha=90.00 beta=90.00 gamma=90.00
Space group P4/mmm (No. 123)
One atom of each set of equivalent atoms:
Ba 0.000 0.000 0.000 (multiplicity 1)
Gd 0.500 0.500 0.310 (multiplicity 2)
Tl 0.000 0.000 0.500 (multiplicity 1)


For Ho4TlIn, a PBE-relaxed structure gives the computed X-ray powder pattern in this record (Cu Kα, 1.54184 Å).
Kinematic intensities with the Lorentz-polarization factor, no thermal factor.

Most intense lines, 2θ = 10–90°, in order of rising 2θ:
two_theta	I (rel.)	h k l
26.30	38	1 0 1
31.48	44	0 2 0
34.51	49	0 1 3
35.58	100	1 1 2
41.47	23	1 2 1
58.74	24	1 3 2

Structural model:
Unit cell a=3.674 b=5.684 c=8.767 alpha=90.00 beta=90.00 gamma=90.00
Space group Pmmm (No. 47)
One atom of each set of equivalent atoms:
Ho 0.000 0.000 0.202 (multiplicity 2)
Ho 0.500 0.500 0.295 (multiplicity 2)
Tl 0.500 0.000 0.500 (multiplicity 1)
In 0.000 0.500 0.000 (multiplicity 1)